For Rb2AgAsF6, a PBE-relaxed structure gives the simulated X-ray diffraction stick pattern in this record (copper Kα).
No peak broadening, texture or thermal motion is included.

Cell and atoms:
```
data_Rb2AgAsF6
_chemical_formula_sum 'Rb2 Ag1 As1 F6'
_cell_length_a 6.3943
_cell_length_b 6.3943
_cell_length_c 6.3943
_cell_angle_alpha 60.00
_cell_angle_beta 60.00
_cell_angle_gamma 60.00
_symmetry_space_group_name_H-M 'P 1'
_symmetry_Int_Tables_number 1
_symmetry_space_group_name_Hall 'P 1'
loop_
_atom_site_label
_atom_site_fract_x
_atom_site_fract_y
_atom_site_fract_z
Rb1 0.2500 0.2500 0.2500
Rb2 0.7500 0.7500 0.7500
Ag1 0.0000 0.0000 0.0000
As1 0.5000 0.5000 0.5000
F1 0.2711 0.2711 0.7289
F2 0.2711 0.7289 0.2711
F3 0.2711 0.7289 0.7289
F4 0.7289 0.2711 0.2711
F5 0.7289 0.2711 0.7289
F6 0.7289 0.7289 0.2711
```

Main lines, in order of falling intensity (5° ≤ 2θ ≤ 70°):
- 2θ 27.9, I 100
- 2θ 39.9, I 40
- 2θ 49.4, I 40
- 2θ 57.7, I 24
- 2θ 65.3, I 19
- 2θ 19.6, I 4
- 2θ 34.4, I 4
- 2θ 32.8, I 2

***

For CaYAlO4, a PBE-relaxed structure gives the simulated X-ray diffraction stick pattern in this record (copper Kα).
No peak broadening, texture or thermal motion is included.

Cell and atoms:
```
data_CaYAlO4
_chemical_formula_sum 'Ca2 Y2 Al2 O8'
_cell_length_a 3.6824
_cell_length_b 3.6824
_cell_length_c 11.8879
_cell_angle_alpha 90.00
_cell_angle_beta 90.00
_cell_angle_gamma 90.00
_symmetry_space_group_name_H-M 'P 1'
_symmetry_Int_Tables_number 1
_symmetry_space_group_name_Hall 'P 1'
loop_
_atom_site_label
_atom_site_fract_x
_atom_site_fract_y
_atom_site_fract_z
Ca1 0.0000 0.0000 0.0000
Ca2 0.5000 0.5000 0.5000
Y1 0.0000 0.0000 0.7148
Y2 0.5000 0.5000 0.2148
Al1 0.0000 0.0000 0.3616
Al2 0.5000 0.5000 0.8616
O1 0.0000 0.0000 0.1889
O2 0.0000 0.0000 0.5264
O3 0.0000 0.5000 0.3510
O4 0.0000 0.5000 0.8510
O5 0.5000 0.0000 0.3510
O6 0.5000 0.0000 0.8510
O7 0.5000 0.5000 0.0264
O8 0.5000 0.5000 0.6889
```

Main lines, in order of falling intensity (5° ≤ 2θ ≤ 70°):
- 2θ 33.2, I 100
- 2θ 34.4, I 87
- 2θ 49.5, I 56
- 2θ 46.4, I 56
- 2θ 25.3, I 46
- 2θ 60.9, I 36
- 2θ 14.9, I 34
- 2θ 37.7, I 24

***

For H3Pb, a PBE-relaxed structure gives the simulated X-ray diffraction stick pattern in this record (copper Kα).
No peak broadening, texture or thermal motion is included.

Cell and atoms:
```
data_H3Pb
_chemical_formula_sum 'H12 Pb4'
_cell_length_a 5.4746
_cell_length_b 5.4746
_cell_length_c 5.4746
_cell_angle_alpha 90.00
_cell_angle_beta 90.00
_cell_angle_gamma 90.00
_symmetry_space_group_name_H-M 'P 1'
_symmetry_Int_Tables_number 1
_symmetry_space_group_name_Hall 'P 1'
loop_
_atom_site_label
_atom_site_fract_x
_atom_site_fract_y
_atom_site_fract_z
H1 0.0000 0.0000 0.0000
H2 0.0000 0.5000 0.5000
H3 0.2500 0.2500 0.2500
H4 0.2500 0.2500 0.7500
H5 0.2500 0.7500 0.2500
H6 0.2500 0.7500 0.7500
H7 0.5000 0.0000 0.5000
H8 0.5000 0.5000 0.0000
H9 0.7500 0.2500 0.2500
H10 0.7500 0.2500 0.7500
H11 0.7500 0.7500 0.2500
H12 0.7500 0.7500 0.7500
Pb1 0.0000 0.0000 0.5000
Pb2 0.0000 0.5000 0.0000
Pb3 0.5000 0.0000 0.0000
Pb4 0.5000 0.5000 0.5000
```

Main lines, in order of falling intensity (5° ≤ 2θ ≤ 70°):
- 2θ 28.2, I 100
- 2θ 32.7, I 52
- 2θ 55.7, I 48
- 2θ 46.9, I 41
- 2θ 58.4, I 14
- 2θ 68.6, I 7